Entry 1:
# HgB2C8N8
Calculated powder diffractogram, Cu Kα X-rays. Input: a PBE-relaxed structure.
Peak positions follow from Bragg's law for the DFT cell and can differ from measured ones.

Atomic structure:
Cell: 7.8284 7.8284 5.9035 Å, 90.00 90.00 120.00°
Fractional coordinates of all 19 atoms:
Hg 0.0000 0.0000 0.0000
B 0.3333 0.6667 0.6256
B 0.6667 0.3333 0.3744
C 0.2239 0.4477 0.7141
C 0.2239 0.7761 0.7141
C 0.3333 0.6667 0.3587
C 0.4477 0.2239 0.2859
C 0.5523 0.7761 0.7141
C 0.6667 0.3333 0.6413
C 0.7761 0.2239 0.2859
C 0.7761 0.5523 0.2859
N 0.1418 0.2836 0.7699
N 0.1418 0.8582 0.7699
N 0.2836 0.1418 0.2301
N 0.3333 0.6667 0.1610
N 0.6667 0.3333 0.8390
N 0.7164 0.8582 0.7699
N 0.8582 0.1418 0.2301
N 0.8582 0.7164 0.2301

Principal peaks in the range 2θ from 10° to 80°, sorted by position:
d/Å  I (rel.)
6.780  83
5.903  21
4.452  100
3.914  50
3.262  34
2.940  44
2.706  23
2.351  32
2.226  24
1.793  28

***

Entry 2:
# PrPt3F15
Calculated powder diffractogram, Cu Kα X-rays. Input: a PBE-relaxed structure.
Peak positions follow from Bragg's law for the DFT cell and can differ from measured ones.

Atomic structure:
Cell: 7.2303 7.2303 5.7309 Å, 104.01 104.01 114.94°
Fractional coordinates of all 19 atoms:
Pr 0.0000 0.0000 0.0000
Pt 0.4165 0.9468 0.6219
Pt 0.5618 0.5618 0.2063
Pt 0.9468 0.4165 0.6219
F 0.0102 0.2902 0.8789
F 0.1923 0.9557 0.3654
F 0.2236 0.6272 0.5683
F 0.2902 0.0102 0.8789
F 0.3361 0.3361 0.2718
F 0.3691 0.5643 0.9183
F 0.4960 0.8390 0.3409
F 0.5643 0.3691 0.9183
F 0.6272 0.2236 0.5683
F 0.6440 0.9743 0.9135
F 0.7123 0.7123 0.6040
F 0.8010 0.8010 0.1921
F 0.8390 0.4960 0.3409
F 0.9557 0.1923 0.3654
F 0.9743 0.6440 0.9135

Principal peaks in the range 2θ from 10° to 80°, sorted by position:
d/Å  I (rel.)
3.919  100
3.767  32
3.472  15
3.205  22
3.048  22
3.017  31
1.960  13
1.890  17
1.800  13
1.630  13